(1)
The following is a calculated powder diffractogram of Mg4Tc5. It was derived from a DFT-relaxed cell (GGA-PBE, Alexandria), using Cu Kα.
Intensities are scaled so that the largest is 100.

Cell and atoms:
abc: 9.4311 9.4311 3.2306
angles: 90.00 90.00 90.00
Space group I4/mmm (No. 139)
Unique sites:
Mg  0.0000  0.3210  0.0000 [8 per cell]
Tc  0.0000  0.0000  0.0000 [2 per cell]
Tc  0.1744  0.1744  0.5000 [8 per cell]

The 10 most intense peaks (5 to 70 degrees two-theta), by angle:
h k l	2θ (°)	intensity
1 1 0	13.28	42
2 0 0	18.82	13
2 2 0	26.74	12
2 1 1	34.99	19
3 0 1	40.02	100
3 3 0	40.58	47
3 2 1	44.57	5
0 0 2	56.99	11
6 0 0	58.75	17
5 2 1	60.09	6


(2)
The following is a calculated powder diffractogram of Mg2Tc. It was derived from a DFT-relaxed cell (GGA-PBE, Alexandria), using Cu Kα.
Intensities are scaled so that the largest is 100.

Cell and atoms:
abc: 2.9063 2.9063 14.4838
angles: 90.00 90.00 120.00
Space group P-6m2 (No. 187)
Unique sites:
Mg  0.0000  0.0000  0.0000 [1 per cell]
Mg  0.0000  0.0000  0.3157 [2 per cell]
Mg  0.6667  0.3333  0.5000 [1 per cell]
Tc  0.6667  0.3333  0.1598 [2 per cell]

The 10 most intense peaks (5 to 70 degrees two-theta), by angle:
h k l	2θ (°)	intensity
0 0 1	6.10	100
0 0 2	12.22	15
0 0 3	18.38	28
1 0 0	35.67	28
0 0 6	37.25	17
1 0 3	40.41	71
0 0 7	43.79	14
1 0 6	52.53	17
1 1 0	64.08	11
1 0 9	69.30	11


(3)
The following is a calculated powder diffractogram of Mg4Tc3. It was derived from a DFT-relaxed cell (GGA-PBE, Alexandria), using Cu Kα.
Intensities are scaled so that the largest is 100.

Cell and atoms:
abc: 3.0730 3.0730 25.9651
angles: 90.00 90.00 90.00
Space group I4/mmm (No. 139)
Unique sites:
Mg  0.0000  0.0000  0.0674 [4 per cell]
Mg  0.0000  0.0000  0.3456 [4 per cell]
Tc  0.0000  0.0000  0.2234 [4 per cell]
Tc  0.0000  0.0000  0.5000 [2 per cell]

The 10 most intense peaks (5 to 70 degrees two-theta), by angle:
h k l	2θ (°)	intensity
0 0 2	6.81	51
0 0 4	13.64	99
1 0 3	30.88	21
1 0 7	38.03	100
1 1 0	41.56	44
1 1 4	43.94	21
1 0 11	48.64	26
0 0 14	49.12	8
2 0 0	60.23	14
1 1 14	66.25	13


(4)
The following is a calculated powder diffractogram of Mg2Tc3. It was derived from a DFT-relaxed cell (GGA-PBE, Alexandria), using Cu Kα.
Intensities are scaled so that the largest is 100.

Cell and atoms:
abc: 2.8189 2.8189 11.5825
angles: 90.00 90.00 120.00
Space group P-3m1 (No. 164)
Unique sites:
Mg  0.3333  0.6667  0.2969 [2 per cell]
Tc  0.0000  0.0000  0.5000 [1 per cell]
Tc  0.3333  0.6667  0.9132 [2 per cell]

The 10 most intense peaks (5 to 70 degrees two-theta), by angle:
h k l	2θ (°)	intensity
0 0 1	7.63	61
0 0 2	15.30	100
0 1 1	37.66	96
0 0 5	38.88	48
1 0 2	40.08	89
0 1 3	43.88	97
1 0 4	48.79	43
1 0 6	61.21	25
1 1 0	66.32	32
1 0 7	68.51	19


(5)
The following is a calculated powder diffractogram of Mg5Tc2. It was derived from a DFT-relaxed cell (GGA-PBE, Alexandria), using Cu Kα.
Intensities are scaled so that the largest is 100.

Cell and atoms:
abc: 3.0833 3.0833 28.6005
angles: 90.00 90.00 90.00
Space group I4/mmm (No. 139)
Unique sites:
Mg  0.0000  0.0000  0.0000 [2 per cell]
Mg  0.0000  0.0000  0.1617 [4 per cell]
Mg  0.0000  0.0000  0.4191 [4 per cell]
Tc  0.0000  0.0000  0.2736 [4 per cell]

The 10 most intense peaks (5 to 70 degrees two-theta), by angle:
h k l	2θ (°)	intensity
0 0 2	6.18	100
0 0 4	12.38	17
0 0 6	18.61	4
1 0 7	36.51	20
1 0 9	40.78	8
1 1 0	41.42	10
1 1 2	41.92	5
1 1 4	43.39	3
1 0 11	45.64	5
2 0 0	60.01	3


(6)
The following is a calculated powder diffractogram of Mg2Tc. It was derived from a DFT-relaxed cell (GGA-PBE, Alexandria), using Cu Kα.
Intensities are scaled so that the largest is 100.

Cell and atoms:
abc: 3.0844 3.0844 11.8942
angles: 90.00 90.00 90.00
Space group P4/nmm (No. 129, origin choice 2)
Unique sites:
Mg  0.2500  0.2500  0.0953 [2 per cell]
Mg  0.2500  0.2500  0.7108 [2 per cell]
Tc  0.2500  0.2500  0.4429 [2 per cell]

The 10 most intense peaks (5 to 70 degrees two-theta), by angle:
h k l	2θ (°)	intensity
0 0 1	7.43	100
0 0 2	14.90	14
1 0 3	36.92	27
1 1 0	41.40	13
1 0 4	42.18	18
1 1 2	44.23	4
1 0 5	48.32	6
1 0 6	55.07	2
2 0 0	59.98	4
2 0 1	60.54	2


(7)
The following is a calculated powder diffractogram of ThMg2Tc. It was derived from a DFT-relaxed cell (GGA-PBE, Alexandria), using Cu Kα.
Intensities are scaled so that the largest is 100.

Cell and atoms:
abc: 4.0460 9.2330 5.2622
angles: 90.00 112.52 90.00
Space group P2_1/m (No. 11)
Unique sites:
Th  0.0623  0.2500  0.1263 [2 per cell]
Mg  0.3468  0.0488  0.6940 [4 per cell]
Tc  0.2413  0.7500  0.4838 [2 per cell]

The 10 most intense peaks (5 to 70 degrees two-theta), by angle:
h k l	2θ (°)	intensity
0 2 0	19.23	100
0 1 1	20.65	38
1 0 0	23.82	49
1 2 0	30.79	89
1 1 -2	36.84	97
0 1 2	38.29	29
0 4 0	39.02	25
1 4 0	46.23	22
1 3 -2	46.47	46
1 5 -2	62.25	22


(8)
The following is a calculated powder diffractogram of Th4MgTc. It was derived from a DFT-relaxed cell (GGA-PBE, Alexandria), using Cu Kα.
Intensities are scaled so that the largest is 100.

Cell and atoms:
abc: 14.0302 14.0302 14.0302
angles: 90.00 90.00 90.00
Space group F-43m (No. 216)
Unique sites:
Th  0.0000  0.0000  0.1854 [24 per cell]
Th  0.0574  0.2500  0.2500 [24 per cell]
Th  0.0949  0.0949  0.5949 [16 per cell]
Mg  0.1712  0.1712  0.8288 [16 per cell]
Tc  0.1136  0.1136  0.3864 [16 per cell]

The 10 most intense peaks (5 to 70 degrees two-theta), by angle:
h k l	2θ (°)	intensity
1 1 1	10.92	18
3 3 1	27.72	60
4 2 2	31.23	67
5 1 1	33.18	100
4 4 0	36.22	36
5 5 1	46.21	14
7 3 3	53.46	23
6 6 0	55.58	62
5 5 5	56.83	15
9 3 3	66.28	14


(9)
The following is a calculated powder diffractogram of Tm8MgTc2. It was derived from a DFT-relaxed cell (GGA-PBE, Alexandria), using Cu Kα.
Intensities are scaled so that the largest is 100.

Cell and atoms:
abc: 5.2883 6.8420 8.8851
angles: 67.40 72.71 89.97
Space group P1 (No. 1)
Unique sites:
Tm  0.0000  0.0000  0.0000 [1 per cell]
Tm  0.0398  0.5096  0.9209 [1 per cell]
Tm  0.2200  0.3571  0.5596 [1 per cell]
Tm  0.3307  0.9170  0.3377 [1 per cell]
Tm  0.4426  0.5803  0.1146 [1 per cell]
Tm  0.6231  0.0932  0.7537 [1 per cell]
Tm  0.6627  0.6625  0.6746 [1 per cell]
Tm  0.8307  0.1831  0.3370 [1 per cell]
Mg  0.8309  0.6154  0.3370 [1 per cell]
Tc  0.1663  0.9353  0.6673 [1 per cell]
Tc  0.4970  0.2651  0.0082 [1 per cell]

The 10 most intense peaks (5 to 70 degrees two-theta), by angle:
h k l	2θ (°)	intensity
1 1 3	31.43	97
-1 2 1	31.66	90
1 0 3	33.45	39
2 0 1	33.90	81
1 2 3	35.75	100
0 1 4	42.86	19
2 2 3	44.85	17
-2 1 2	47.04	19
3 2 4	61.86	20
1 2 6	62.81	17


(10)
The following is a calculated powder diffractogram of MgTc2W. It was derived from a DFT-relaxed cell (GGA-PBE, Alexandria), using Cu Kα.
Intensities are scaled so that the largest is 100.

Cell and atoms:
abc: 3.1183 4.6208 8.6746
angles: 90.00 90.00 90.00
Space group Immm (No. 71)
Unique sites:
Mg  0.0000  0.0000  0.0000 [2 per cell]
Tc  0.0000  0.5000  0.2364 [4 per cell]
W  0.0000  0.0000  0.5000 [2 per cell]

The 10 most intense peaks (5 to 70 degrees two-theta), by angle:
h k l	2θ (°)	intensity
0 1 1	21.79	45
1 0 1	30.46	13
0 2 0	38.98	29
1 1 2	40.63	100
0 0 4	41.65	22
1 0 3	42.64	11
0 1 5	56.67	7
0 2 4	58.36	16
1 2 3	59.14	9
2 0 0	59.27	8


(11)
The following is a calculated powder diffractogram of Y3Mg2Tc. It was derived from a DFT-relaxed cell (GGA-PBE, Alexandria), using Cu Kα.
Intensities are scaled so that the largest is 100.

Cell and atoms:
abc: 5.0736 15.0908 7.9081
angles: 90.00 90.00 90.00
Space group Cmmm (No. 65)
Unique sites:
Y  0.0000  0.0000  0.2197 [4 per cell]
Y  0.0000  0.3252  0.2108 [8 per cell]
Mg  0.0000  0.1654  0.5000 [4 per cell]
Mg  0.0000  0.5000  0.0000 [2 per cell]
Mg  0.0000  0.5000  0.5000 [2 per cell]
Tc  0.0000  0.1600  0.0000 [4 per cell]

The 10 most intense peaks (5 to 70 degrees two-theta), by angle:
h k l	2θ (°)	intensity
0 0 1	11.19	42
1 3 0	24.93	10
1 3 2	33.82	100
2 0 0	35.38	26
0 6 0	35.70	24
1 3 3	42.62	21
0 0 4	45.90	7
2 6 0	51.14	16
3 3 2	62.52	16
1 9 2	62.93	15


(12)
The following is a calculated powder diffractogram of Mg4Te3. It was derived from a DFT-relaxed cell (GGA-PBE, Alexandria), using Cu Kα.
Intensities are scaled so that the largest is 100.

Cell and atoms:
abc: 6.1499 6.1499 6.1499
angles: 90.00 90.00 90.00
Space group P-43m (No. 215)
Unique sites:
Mg  0.2171  0.2171  0.7829 [4 per cell]
Te  0.0000  0.5000  0.5000 [3 per cell]

The 10 most intense peaks (5 to 70 degrees two-theta), by angle:
h k l	2θ (°)	intensity
1 0 0	14.40	19
1 1 0	20.42	24
1 1 1	25.08	100
2 0 0	29.04	27
2 1 0	32.56	21
2 1 1	35.76	14
2 2 0	41.53	55
3 1 1	49.13	46
3 3 1	66.24	19
4 2 0	68.19	11


(13)
The following is a calculated powder diffractogram of Mg6Te. It was derived from a DFT-relaxed cell (GGA-PBE, Alexandria), using Cu Kα.
Intensities are scaled so that the largest is 100.

Cell and atoms:
abc: 8.1172 8.1172 8.1172
angles: 90.00 90.00 90.00
Space group Im-3m (No. 229)
Unique sites:
Mg  0.0000  0.2500  0.5000 [12 per cell]
Te  0.0000  0.0000  0.0000 [2 per cell]

The 10 most intense peaks (5 to 70 degrees two-theta), by angle:
h k l	2θ (°)	intensity
1 1 0	15.44	30
2 0 0	21.90	42
2 1 1	26.90	100
3 1 0	34.96	8
3 2 1	41.63	61
4 0 0	44.65	16
4 2 0	50.27	17
3 3 2	52.91	15
5 2 1	62.69	18
4 4 0	64.99	10


(14)
The following is a calculated powder diffractogram of MgTe2. It was derived from a DFT-relaxed cell (GGA-PBE, Alexandria), using Cu Kα.
Intensities are scaled so that the largest is 100.

Cell and atoms:
abc: 4.2989 4.2989 6.2420
angles: 90.00 90.00 120.00
Space group P-6m2 (No. 187)
Unique sites:
Mg  0.0000  0.0000  0.0000 [1 per cell]
Te  0.6667  0.3333  0.2580 [2 per cell]

The 10 most intense peaks (5 to 70 degrees two-theta), by angle:
h k l	2θ (°)	intensity
1 0 0	23.90	100
0 0 2	28.60	18
1 0 2	37.61	74
1 1 0	42.04	30
2 0 0	48.93	14
1 1 2	51.63	21
2 0 2	57.66	21
0 0 4	59.21	3
1 0 4	64.78	12
2 1 0	66.44	11


(15)
The following is a calculated powder diffractogram of Mg5Te4. It was derived from a DFT-relaxed cell (GGA-PBE, Alexandria), using Cu Kα.
Intensities are scaled so that the largest is 100.

Cell and atoms:
abc: 11.0428 11.0428 4.1296
angles: 90.00 90.00 90.00
Space group I4/mmm (No. 139)
Unique sites:
Mg  0.0000  0.0000  0.0000 [2 per cell]
Mg  0.1477  0.1477  0.5000 [8 per cell]
Te  0.0000  0.2725  0.0000 [8 per cell]

The 10 most intense peaks (5 to 70 degrees two-theta), by angle:
h k l	2θ (°)	intensity
2 2 0	22.78	100
1 0 1	22.99	31
2 1 1	28.17	63
4 0 0	32.43	33
3 0 1	32.59	92
4 1 1	40.13	29
4 4 0	46.52	20
4 3 1	46.64	22
5 2 1	49.64	35
2 2 2	49.97	24